[1]
The following is a computed powder X-ray diffraction pattern of Na5B9C. It was derived from a PBE-relaxed structure, using λ = 1.5418 Å (Cu Kα).
Neutral-atom scattering factors, no anomalous dispersion.

Cell and atoms:
a b c (Å): 7.8850 7.8850 9.1561
angles (deg): 107.93 107.93 38.47
Positions (direct):
Na1 0.0503 0.0503 0.2500
Na2 0.1504 0.1501 0.7499
Na3 0.2504 0.2498 0.2505
Na4 0.3504 0.3495 0.7496
Na5 0.4515 0.4472 0.2468
Na6 0.5528 0.5485 0.7532
Na7 0.6505 0.6496 0.2504
Na8 0.7502 0.7496 0.7495
Na9 0.8499 0.8496 0.2501
Na10 0.9497 0.9497 0.7500
B1 0.0200 0.3678 0.5000
B2 0.0715 0.7287 0.0005
B3 0.1300 0.4699 0.0001
B4 0.1573 0.8427 0.5000
B5 0.2673 0.5390 0.5000
B6 0.2713 0.9285 0.9995
B7 0.3301 0.6699 0.0000
B8 0.3592 0.0386 0.5000
B9 0.4610 0.7327 0.5000
B10 0.4715 0.1285 0.0002
B11 0.5301 0.8700 0.9999
B12 0.6322 0.9800 0.5000
B13 0.6715 0.3285 0.0000
B14 0.7301 0.0702 0.0005
B15 0.8241 0.1759 0.5000
B16 0.8715 0.5285 0.9998
B17 0.9298 0.2699 0.9995
B18 0.9614 0.6408 0.5000
C1 0.5695 0.2364 0.5000
C2 0.7636 0.4305 0.5000

Principal peaks in the range 2θ from 5° to 70°, low angle first:
2θ = 20.52°, rel. 3; 2θ = 34.53°, rel. 10; 2θ = 34.72°, rel. 20; 2θ = 40.50°, rel. 50; 2θ = 40.67°, rel. 100; 2θ = 41.74°, rel. 35; 2θ = 55.25°, rel. 6; 2θ = 55.38°, rel. 11; 2θ = 61.99°, rel. 18; 2θ = 62.36°, rel. 9

[2]
The following is a computed powder X-ray diffraction pattern of Na5B8C2. It was derived from a PBE-relaxed structure, using λ = 1.5418 Å (Cu Kα).
Neutral-atom scattering factors, no anomalous dispersion.

Cell and atoms:
a b c (Å): 2.9379 2.9379 42.9785
angles (deg): 90.00 90.00 120.00
Positions (direct):
Na1 0.0000 0.0000 0.0000
Na2 0.0000 0.0000 0.0983
Na3 0.0000 0.0000 0.1965
Na4 0.0000 0.0000 0.2979
Na5 0.0000 0.0000 0.3992
Na6 0.0000 0.0000 0.4973
Na7 0.0000 0.0000 0.5980
Na8 0.0000 0.0000 0.6994
Na9 0.0000 0.0000 0.8003
Na10 0.0000 0.0000 0.8988
B1 0.3333 0.6667 0.1473
B2 0.3333 0.6667 0.2472
B3 0.3333 0.6667 0.3487
B4 0.3333 0.6667 0.5477
B5 0.3333 0.6667 0.6487
B6 0.3333 0.6667 0.7498
B7 0.3333 0.6667 0.9493
B8 0.6667 0.3333 0.0494
B9 0.6667 0.3333 0.2472
B10 0.6667 0.3333 0.3487
B11 0.6667 0.3333 0.4482
B12 0.6667 0.3333 0.5477
B13 0.6667 0.3333 0.6487
B14 0.6667 0.3333 0.7498
B15 0.6667 0.3333 0.8494
B16 0.6667 0.3333 0.9493
C1 0.3333 0.6667 0.0495
C2 0.3333 0.6667 0.4483
C3 0.3333 0.6667 0.8493
C4 0.6667 0.3333 0.1473

Principal peaks in the range 2θ from 5° to 70°, low angle first:
2θ = 6.17°, rel. 1; 2θ = 20.67°, rel. 1; 2θ = 35.28°, rel. 19; 2θ = 41.23°, rel. 100; 2θ = 42.05°, rel. 24; 2θ = 56.01°, rel. 10; 2θ = 63.31°, rel. 18; 2θ = 67.37°, rel. 2